# Tb2PrNdY
Calculated X-ray powder pattern, Cu Kα X-rays. Input: a DFT-relaxed cell (GGA-PBE, Alexandria).
Neutral-atom scattering factors, no anomalous dispersion.

Atomic structure:
Cell: 8.4485 11.7152 7.2038 Å, 90.00 90.00 90.00°
Space group Cmcm (No. 63)
Symmetry-distinct sites (fractional):
1 Tb 0.1871 0.0000 0.0000 [8 per cell]
2 Pr 0.0000 0.2244 0.2500 [4 per cell]
3 Nd 0.0000 0.4894 0.2500 [4 per cell]
4 Y 0.0000 0.2287 0.7500 [4 per cell]

Most intense lines, 10° ≤ 2θ ≤ 90°, in order of rising 2θ:
29.10°, intensity 41, hkl 0 2 2; 30.52°, intensity 48, hkl 0 4 0; 32.68°, intensity 100, hkl 2 0 2; 35.53°, intensity 41, hkl 1 3 2; 39.45°, intensity 34, hkl 3 3 0; 45.32°, intensity 47, hkl 2 4 2